Starting from a cell relaxed with GGA-PBE, the powder diffraction line list of CaPm4SmTe8 was calculated for Cu Kα, 1.54184 Å.
Intensities are scaled so that the largest is 100.

```
CaPm4SmTe8
1.0
4.6368 2.6771 7.5625
-4.6368 2.6771 7.5625
0.0000 -5.3541 7.5625
Ca Pm Sm Te
1 4 1 8
Direct
0.0000 0.0000 0.0000 Ca
0.1180 0.6271 0.6271 Pm
0.2496 0.2496 0.2496 Pm
0.6271 0.1180 0.6271 Pm
0.6271 0.6271 0.1180 Pm
0.6273 0.6273 0.6273 Sm
0.3828 0.3828 0.3828 Te
0.3840 0.3840 0.8497 Te
0.3840 0.8497 0.3840 Te
0.3996 0.8660 0.8660 Te
0.8497 0.3840 0.3840 Te
0.8660 0.3996 0.8660 Te
0.8660 0.8660 0.3996 Te
0.8668 0.8668 0.8668 Te
```

Largest 10 diffraction maxima, sorted by position, 5 to 70 degrees two-theta:
| 2θ/deg | d_spacing | I/Imax |
| --- | --- | --- |
| 11.69 | 7.569 | 24.1 |
| 22.49 | 3.953 | 46.5 |
| 23.51 | 3.784 | 13.5 |
| 27.21 | 3.277 | 81.6 |
| 35.58 | 2.523 | 33.5 |
| 38.86 | 2.317 | 100.0 |
| 48.09 | 1.892 | 21.4 |
| 53.71 | 1.707 | 11.8 |
| 56.13 | 1.639 | 16.2 |
| 63.47 | 1.466 | 26.0 |



Starting from a cell relaxed with GGA-PBE, the powder diffraction line list of CaPmSn was calculated for Cu Kα, 1.54184 Å.
Intensities are scaled so that the largest is 100.

```
CaPmSn
1.0
0.0000 3.7386 3.7386
3.7386 0.0000 3.7386
3.7386 3.7386 0.0000
Ca Pm Sn
1 1 1
Direct
0.0000 0.0000 0.0000 Ca
0.5000 0.5000 0.5000 Pm
0.7500 0.7500 0.7500 Sn
```

Largest 10 diffraction maxima, sorted by position, 5 to 70 degrees two-theta:
| 2θ/deg | d_spacing | I/Imax |
| --- | --- | --- |
| 20.57 | 4.317 | 60.8 |
| 23.80 | 3.739 | 6.3 |
| 33.91 | 2.644 | 100.0 |
| 39.99 | 2.254 | 34.3 |
| 41.85 | 2.159 | 1.7 |
| 48.71 | 1.869 | 18.0 |
| 53.41 | 1.715 | 15.2 |
| 54.91 | 1.672 | 2.1 |
| 60.67 | 1.526 | 37.2 |
| 64.79 | 1.439 | 11.6 |



Starting from a cell relaxed with GGA-PBE, the powder diffraction line list of Ca3PmSn3 was calculated for Cu Kα, 1.54184 Å.
Intensities are scaled so that the largest is 100.

```
Ca3PmSn3
1.0
4.8972 -6.3462 0.0000
4.8972 6.3462 0.0000
-0.4208 0.0000 7.7574
Ca Pm Sn
6 2 6
Direct
0.1417 0.8583 0.0000 Ca
0.2429 0.7571 0.5000 Ca
0.3592 0.3592 0.8496 Ca
0.6408 0.6408 0.1504 Ca
0.7571 0.2429 0.5000 Ca
0.8583 0.1417 0.0000 Ca
0.2695 0.2695 0.3648 Pm
0.7305 0.7305 0.6352 Pm
0.0656 0.0656 0.6676 Sn
0.0991 0.4947 0.1593 Sn
0.4947 0.0991 0.1593 Sn
0.5053 0.9009 0.8407 Sn
0.9009 0.5053 0.8407 Sn
0.9344 0.9344 0.3324 Sn
```

Largest 10 diffraction maxima, sorted by position, 5 to 70 degrees two-theta:
| 2θ/deg | d_spacing | I/Imax |
| --- | --- | --- |
| 16.52 | 5.368 | 48.0 |
| 18.08 | 4.906 | 100.0 |
| 20.94 | 4.242 | 36.9 |
| 28.12 | 3.173 | 43.7 |
| 31.14 | 2.872 | 38.8 |
| 32.27 | 2.774 | 77.8 |
| 33.39 | 2.684 | 59.6 |
| 36.17 | 2.484 | 41.8 |
| 37.56 | 2.395 | 52.7 |
| 38.58 | 2.334 | 36.4 |



Starting from a cell relaxed with GGA-PBE, the powder diffraction line list of Sr2Ca6Pm was calculated for Cu Kα, 1.54184 Å.
Intensities are scaled so that the largest is 100.

```
Sr2Ca6Pm
1.0
3.9145 0.0000 0.0000
-1.9573 3.3901 0.0000
0.0000 0.0000 29.5648
Sr Ca Pm
2 6 1
Direct
0.0000 0.0000 0.1745 Sr
0.0000 0.0000 0.8255 Sr
0.0000 0.0000 0.3981 Ca
0.0000 0.0000 0.6019 Ca
0.6667 0.3333 0.0612 Ca
0.6667 0.3333 0.2891 Ca
0.6667 0.3333 0.7109 Ca
0.6667 0.3333 0.9388 Ca
0.6667 0.3333 0.5000 Pm
```

Largest 10 diffraction maxima, sorted by position, 5 to 70 degrees two-theta:
| 2θ/deg | d_spacing | I/Imax |
| --- | --- | --- |
| 8.97 | 9.855 | 61.8 |
| 26.29 | 3.390 | 38.9 |
| 26.98 | 3.304 | 28.4 |
| 27.15 | 3.285 | 38.8 |
| 28.98 | 3.081 | 56.0 |
| 30.39 | 2.941 | 100.0 |
| 38.15 | 2.359 | 23.8 |
| 46.39 | 1.957 | 30.5 |
| 50.95 | 1.792 | 28.1 |
| 54.57 | 1.682 | 35.0 |



Starting from a cell relaxed with GGA-PBE, the powder diffraction line list of CaTb6Pm4 was calculated for Cu Kα, 1.54184 Å.
Intensities are scaled so that the largest is 100.

```
CaTb6Pm4
1.0
-3.9157 3.9157 6.5538
3.9157 -3.9157 6.5538
3.9157 3.9157 -6.5538
Ca Tb Pm
1 6 4
Direct
0.0000 0.0000 0.0000 Ca
0.0000 0.5000 0.5000 Tb
0.2623 0.2623 0.6780 Tb
0.4156 0.7377 0.0000 Tb
0.5000 0.0000 0.5000 Tb
0.5844 0.5844 0.3220 Tb
0.7377 0.4156 0.0000 Tb
0.0594 0.5607 0.0000 Pm
0.4393 0.4393 0.4987 Pm
0.5607 0.0594 0.0000 Pm
0.9406 0.9406 0.5013 Pm
```

Largest 10 diffraction maxima, sorted by position, 5 to 70 degrees two-theta:
| 2θ/deg | d_spacing | I/Imax |
| --- | --- | --- |
| 13.17 | 6.723 | 44.1 |
| 22.71 | 3.916 | 26.2 |
| 26.34 | 3.384 | 23.0 |
| 26.52 | 3.361 | 55.5 |
| 31.73 | 2.820 | 100.0 |
| 32.33 | 2.769 | 47.7 |
| 32.77 | 2.733 | 37.1 |
| 35.05 | 2.560 | 23.9 |
| 38.87 | 2.317 | 42.4 |
| 54.22 | 1.692 | 35.4 |



Starting from a cell relaxed with GGA-PBE, the powder diffraction line list of CaTb6Pm5 was calculated for Cu Kα, 1.54184 Å.
Intensities are scaled so that the largest is 100.

```
CaTb6Pm5
1.0
5.9983 -5.4326 0.0000
5.9983 5.4326 0.0000
-1.0897 0.0000 6.1751
Ca Tb Pm
1 6 5
Direct
0.0000 0.0000 0.0000 Ca
0.0846 0.4233 0.2534 Tb
0.2521 0.2521 0.7439 Tb
0.4233 0.0846 0.2534 Tb
0.5767 0.9154 0.7466 Tb
0.7479 0.7479 0.2561 Tb
0.9154 0.5767 0.7466 Tb
0.1702 0.8298 0.5000 Pm
0.3377 0.6623 0.0000 Pm
0.5000 0.5000 0.5000 Pm
0.6623 0.3377 0.0000 Pm
0.8298 0.1702 0.5000 Pm
```

Largest 10 diffraction maxima, sorted by position, 5 to 70 degrees two-theta:
| 2θ/deg | d_spacing | I/Imax |
| --- | --- | --- |
| 11.06 | 7.997 | 2.8 |
| 14.34 | 6.175 | 0.8 |
| 15.00 | 5.907 | 1.2 |
| 17.08 | 5.192 | 0.9 |
| 28.91 | 3.088 | 0.8 |
| 30.24 | 2.956 | 100.0 |
| 35.06 | 2.560 | 50.6 |
| 50.42 | 1.810 | 35.9 |
| 59.93 | 1.543 | 42.6 |
| 62.89 | 1.478 | 12.3 |